Simulated powder X-ray diffraction pattern
Compound: V2O3
Radiation: Cu Kα (weighted mean of Kα1 and Kα2)
Structure: a crystal structure in the Materials Project, relaxed with PBE+U
Lines closer than 0.1° are merged.

Structural model:
a b c (Å): 8.291 8.291 8.291
angles (deg): 109.47 109.47 109.47
Fractional coordinates of all 40 atoms:
V1 0.000 0.000 0.500
V2 0.000 0.500 0.000
V3 0.032 0.750 0.782
V4 0.218 0.968 0.250
V5 0.250 0.218 0.968
V6 0.250 0.718 0.468
V7 0.282 0.532 0.750
V8 0.468 0.250 0.718
V9 0.500 0.000 0.000
V10 0.500 0.500 0.500
V11 0.532 0.750 0.282
V12 0.718 0.468 0.250
V13 0.750 0.282 0.532
V14 0.750 0.782 0.032
V15 0.782 0.032 0.750
V16 0.968 0.250 0.218
O1 0.008 0.045 0.274
O2 0.037 0.492 0.766
O3 0.045 0.274 0.008
O4 0.226 0.271 0.734
O5 0.229 0.455 0.463
O6 0.234 0.963 0.508
O7 0.266 0.774 0.729
O8 0.271 0.734 0.226
O9 0.274 0.008 0.045
O10 0.455 0.463 0.229
O11 0.463 0.229 0.455
O12 0.492 0.766 0.037
O13 0.508 0.234 0.963
O14 0.537 0.771 0.545
O15 0.545 0.537 0.771
O16 0.726 0.992 0.955
O17 0.729 0.266 0.774
O18 0.734 0.226 0.271
O19 0.766 0.037 0.492
O20 0.771 0.545 0.537
O21 0.774 0.729 0.266
O22 0.955 0.726 0.992
O23 0.963 0.508 0.234
O24 0.992 0.955 0.726

Peak list (12 most intense, 2θ = 10–90°, in order of falling intensity)
32.39°, d 2.764, I = 100; 54.19°, d 1.692, I = 48; 64.57°, d 1.443, I = 24; 22.75°, d 3.909, I = 14; 37.58°, d 2.394, I = 13; 44.38°, d 2.041, I = 10; 48.48°, d 1.878, I = 9; 89.17°, d 1.098, I = 7; 66.20°, d 1.412, I = 6; 59.52°, d 1.553, I = 5; 80.21°, d 1.197, I = 4; 62.91°, d 1.477, I = 4

---

Simulated powder X-ray diffraction pattern
Compound: V2O5
Radiation: Cu Kα (weighted mean of Kα1 and Kα2)
Structure: a crystal structure in the Materials Project, relaxed with PBE+U
Lines closer than 0.1° are merged.

Structural model:
a b c (Å): 8.028 8.028 10.329
angles (deg): 108.27 108.27 26.21
Fractional coordinates of all 21 atoms:
V1 0.115 0.115 0.113
V2 0.288 0.288 0.411
V3 0.337 0.337 0.108
V4 0.663 0.663 0.892
V5 0.712 0.712 0.589
V6 0.885 0.885 0.887
O1 0.000 0.000 0.000
O2 0.107 0.107 0.265
O3 0.184 0.184 0.945
O4 0.245 0.245 0.575
O5 0.263 0.263 0.221
O6 0.365 0.365 0.927
O7 0.396 0.396 0.469
O8 0.437 0.437 0.217
O9 0.563 0.563 0.783
O10 0.604 0.604 0.531
O11 0.635 0.635 0.073
O12 0.737 0.737 0.779
O13 0.755 0.755 0.425
O14 0.816 0.816 0.055
O15 0.893 0.893 0.735

Peak list (12 most intense, 2θ = 10–90°, in order of falling intensity)
11.95°, d 7.403, I = 100; 26.13°, d 3.410, I = 71; 28.40°, d 3.143, I = 38; 30.14°, d 2.965, I = 31; 50.11°, d 1.820, I = 24; 32.49°, d 2.756, I = 21; 40.48°, d 2.229, I = 19; 27.48°, d 3.246, I = 15; 18.14°, d 4.890, I = 14; 60.93°, d 1.521, I = 13; 44.91°, d 2.018, I = 13; 34.74°, d 2.582, I = 12

---

Simulated powder X-ray diffraction pattern
Compound: VO
Radiation: Cu Kα (weighted mean of Kα1 and Kα2)
Structure: a crystal structure in the Materials Project, relaxed with PBE+U
Lines closer than 0.1° are merged.

Structural model:
a b c (Å): 3.197 3.197 7.181
angles (deg): 90.00 90.00 120.00
Fractional coordinates of all 6 atoms:
V1 0.000 0.000 0.000
V2 0.333 0.667 0.667
V3 0.667 0.333 0.333
O1 0.000 0.000 0.500
O2 0.333 0.667 0.167
O3 0.667 0.333 0.833

Peak list (11 most intense, 2θ = 10–90°, in order of falling intensity)
41.17°, d 2.193, I = 100; 34.73°, d 2.583, I = 42; 57.67°, d 1.599, I = 32; 61.57°, d 1.506, I = 25; 73.29°, d 1.292, I = 14; 37.58°, d 2.394, I = 11; 70.89°, d 1.329, I = 11; 89.37°, d 1.096, I = 8; 69.10°, d 1.359, I = 6; 74.41°, d 1.275, I = 5; 80.20°, d 1.197, I = 4

---

Simulated powder X-ray diffraction pattern
Compound: V2O5
Radiation: Cu Kα (weighted mean of Kα1 and Kα2)
Structure: a crystal structure in the Materials Project, relaxed with PBE+U
Lines closer than 0.1° are merged.

Structural model:
a b c (Å): 2.884 11.360 5.773
angles (deg): 90.00 90.00 90.00
Fractional coordinates of all 14 atoms:
V1 0.250 0.093 0.147
V2 0.250 0.407 0.147
V3 0.750 0.593 0.853
V4 0.750 0.907 0.853
O1 0.250 0.250 0.094
O2 0.250 0.575 0.097
O3 0.250 0.590 0.659
O4 0.250 0.910 0.659
O5 0.250 0.925 0.097
O6 0.750 0.075 0.903
O7 0.750 0.090 0.341
O8 0.750 0.410 0.341
O9 0.750 0.425 0.903
O10 0.750 0.750 0.906

Peak list (12 most intense, 2θ = 10–90°, in order of falling intensity)
15.35°, d 5.773, I = 100; 17.23°, d 5.147, I = 78; 44.40°, d 2.040, I = 46; 15.60°, d 5.680, I = 44; 28.18°, d 3.166, I = 37; 34.77°, d 2.580, I = 23; 67.48°, d 1.388, I = 21; 48.05°, d 1.893, I = 17; 31.50°, d 2.840, I = 16; 32.00°, d 2.797, I = 13; 35.68°, d 2.516, I = 12; 63.05°, d 1.474, I = 12

---

Simulated powder X-ray diffraction pattern
Compound: VO2
Radiation: Cu Kα (weighted mean of Kα1 and Kα2)
Structure: a crystal structure in the Materials Project, relaxed with PBE+U
Lines closer than 0.1° are merged.

Structural model:
a b c (Å): 4.479 4.530 3.038
angles (deg): 90.00 90.00 90.00
Fractional coordinates of all 6 atoms:
V1 0.000 0.000 0.000
V2 0.500 0.500 0.500
O1 0.210 0.192 0.500
O2 0.290 0.692 0.000
O3 0.710 0.308 0.000
O4 0.790 0.808 0.500

Peak list (12 most intense, 2θ = 10–90°, in order of falling intensity)
28.02°, d 3.185, I = 100; 54.82°, d 1.675, I = 33; 35.72°, d 2.514, I = 31; 54.54°, d 1.683, I = 29; 35.59°, d 2.523, I = 26; 41.06°, d 2.198, I = 20; 57.91°, d 1.592, I = 18; 68.44°, d 1.371, I = 12; 69.53°, d 1.352, I = 12; 61.01°, d 1.519, I = 10; 70.25°, d 1.340, I = 10; 89.09°, d 1.099, I = 9

---

Simulated powder X-ray diffraction pattern
Compound: V6O13
Radiation: Cu Kα (weighted mean of Kα1 and Kα2)
Structure: a crystal structure in the Materials Project, relaxed with PBE+U
Lines closer than 0.1° are merged.

Structural model:
a b c (Å): 10.300 3.743 12.160
angles (deg): 90.00 100.85 90.00
Fractional coordinates of all 38 atoms:
V1 0.001 0.000 0.400
V2 0.002 0.482 0.897
V3 0.364 0.493 0.663
V4 0.364 0.987 0.163
V5 0.365 0.486 0.964
V6 0.365 0.993 0.463
V7 0.635 0.493 0.537
V8 0.635 0.986 0.036
V9 0.636 0.487 0.837
V10 0.636 0.993 0.337
V11 0.998 0.982 0.103
V12 0.999 0.500 0.600
O1 0.000 0.482 0.066
O2 0.000 0.489 0.754
O3 0.000 0.498 0.428
O4 0.000 0.982 0.934
O5 0.000 0.989 0.246
O6 0.000 0.998 0.572
O7 0.198 0.482 0.928
O8 0.198 0.496 0.637
O9 0.198 0.984 0.136
O10 0.198 0.997 0.426
O11 0.385 0.487 0.130
O12 0.385 0.993 0.630
O13 0.409 0.490 0.811
O14 0.409 0.990 0.310
O15 0.410 0.493 0.503
O16 0.411 0.986 0.003
O17 0.589 0.486 0.997
O18 0.590 0.993 0.497
O19 0.591 0.490 0.690
O20 0.591 0.990 0.189
O21 0.615 0.493 0.370
O22 0.615 0.987 0.870
O23 0.802 0.484 0.864
O24 0.802 0.497 0.574
O25 0.802 0.982 0.072
O26 0.802 0.996 0.363

Peak list (12 most intense, 2θ = 10–90°, in order of falling intensity)
24.93°, d 3.572, I = 100; 26.43°, d 3.372, I = 74; 44.75°, d 2.025, I = 60; 32.87°, d 2.725, I = 43; 14.84°, d 5.971, I = 39; 29.56°, d 3.022, I = 37; 48.65°, d 1.872, I = 37; 17.53°, d 5.058, I = 28; 68.23°, d 1.374, I = 26; 58.59°, d 1.575, I = 23; 35.55°, d 2.525, I = 18; 56.21°, d 1.636, I = 15

---

Simulated powder X-ray diffraction pattern
Compound: VO2
Radiation: Cu Kα (weighted mean of Kα1 and Kα2)
Structure: a crystal structure in the Materials Project, relaxed with PBE+U
Lines closer than 0.1° are merged.

Structural model:
a b c (Å): 5.246 10.803 5.880
angles (deg): 90.00 92.97 90.00
Fractional coordinates of all 24 atoms:
V1 0.000 0.000 0.000
V2 0.000 0.000 0.500
V3 0.000 0.500 0.000
V4 0.000 0.500 0.500
V5 0.499 0.002 0.250
V6 0.499 0.498 0.250
V7 0.501 0.502 0.750
V8 0.501 0.998 0.750
O1 0.162 0.590 0.743
O2 0.162 0.910 0.743
O3 0.163 0.589 0.244
O4 0.163 0.911 0.244
O5 0.338 0.089 0.005
O6 0.338 0.089 0.507
O7 0.338 0.411 0.005
O8 0.338 0.411 0.507
O9 0.662 0.589 0.493
O10 0.662 0.589 0.995
O11 0.662 0.911 0.493
O12 0.662 0.911 0.995
O13 0.837 0.089 0.756
O14 0.837 0.411 0.756
O15 0.838 0.090 0.257
O16 0.838 0.410 0.257

Peak list (12 most intense, 2θ = 10–90°, in order of falling intensity)
16.41°, d 5.402, I = 100; 38.18°, d 2.357, I = 19; 48.41°, d 1.880, I = 16; 34.23°, d 2.619, I = 8; 49.62°, d 1.837, I = 8; 62.60°, d 1.484, I = 8; 39.64°, d 2.274, I = 8; 65.95°, d 1.416, I = 7; 63.36°, d 1.468, I = 6; 42.68°, d 2.118, I = 6; 63.63°, d 1.462, I = 4; 62.90°, d 1.478, I = 4

---

Simulated powder X-ray diffraction pattern
Compound: V8O
Radiation: Cu Kα (weighted mean of Kα1 and Kα2)
Structure: a crystal structure in the Materials Project, relaxed with PBE+U
Lines closer than 0.1° are merged.

Structural model:
a b c (Å): 8.884 8.884 3.026
angles (deg): 90.00 90.00 90.00
Fractional coordinates of all 18 atoms:
V1 0.117 0.371 0.000
V2 0.119 0.119 0.500
V3 0.129 0.617 0.500
V4 0.155 0.845 0.000
V5 0.345 0.345 0.500
V6 0.371 0.117 0.000
V7 0.381 0.619 0.000
V8 0.383 0.871 0.500
V9 0.617 0.129 0.500
V10 0.619 0.381 0.000
V11 0.629 0.883 0.000
V12 0.655 0.655 0.500
V13 0.845 0.155 0.000
V14 0.871 0.383 0.500
V15 0.881 0.881 0.500
V16 0.883 0.629 0.000
O1 0.000 0.000 0.000
O2 0.500 0.500 0.500

Peak list (12 most intense, 2θ = 10–90°, in order of falling intensity)
41.43°, d 2.179, I = 100; 40.62°, d 2.221, I = 45; 74.47°, d 1.274, I = 22; 58.80°, d 1.570, I = 14; 76.12°, d 1.250, I = 12; 61.26°, d 1.513, I = 8; 41.93°, d 2.155, I = 5; 47.59°, d 1.911, I = 4; 87.93°, d 1.110, I = 3; 71.76°, d 1.315, I = 3; 78.90°, d 1.213, I = 2; 36.47°, d 2.464, I = 2